Calculated powder diffraction line list of Ba2MgNbInO6 for Cu Ka, from a crystal structure in the Materials Project, relaxed with PBE.
Neutral-atom scattering factors, no anomalous dispersion.

Cell and atoms:
Cell: 5.9934 6.3311 10.6619 Å, 90.00 90.00 90.00°
Space group Immm (No. 71)
Asymmetric unit:
Ba 0.0000 0.0000 0.1826 (multiplicity 4)
Mg 0.0000 0.0000 0.5000 (multiplicity 2)
Nb 0.0000 0.5000 0.0000 (multiplicity 2)
In 0.0000 0.5000 0.5000 (multiplicity 2)
O 0.0000 0.5000 0.1894 (multiplicity 4)
O 0.2472 0.2812 0.0000 (multiplicity 8)

Peak list (10 most intense, 2θ from 10° to 90°, by intensity)
hkl 1 1 2, d = 3.371 Å, rel. 100
hkl 2 2 0, d = 2.176 Å, rel. 46
hkl 0 2 0, d = 3.166 Å, rel. 42
hkl 1 0 3, d = 3.057 Å, rel. 37
hkl 2 0 0, d = 2.997 Å, rel. 36
hkl 1 2 3, d = 2.199 Å, rel. 29
hkl 0 1 3, d = 3.099 Å, rel. 20
hkl 1 3 2, d = 1.865 Å, rel. 19
hkl 3 1 2, d = 1.794 Å, rel. 16
hkl 2 2 6, d = 1.376 Å, rel. 16


Calculated powder diffraction line list of CeGa6Ni for Cu Ka, from a crystal structure in the Materials Project, relaxed with PBE.
Neutral-atom scattering factors, no anomalous dispersion.

Cell and atoms:
Cell: 4.2725 4.2725 7.9731 Å, 90.00 90.00 90.00°
Space group P4/mmm (No. 123)
Asymmetric unit:
Ce 0.0000 0.0000 0.0000 (multiplicity 1)
Ga 0.0000 0.5000 0.3348 (multiplicity 4)
Ga 0.5000 0.5000 0.1496 (multiplicity 2)
Ni 0.0000 0.0000 0.5000 (multiplicity 1)

Peak list (10 most intense, 2θ from 10° to 90°, by intensity)
hkl 1 1 1, d = 2.825 Å, rel. 100
hkl 2 0 0, d = 2.136 Å, rel. 97
hkl 1 0 2, d = 2.915 Å, rel. 71
hkl 1 1 2, d = 2.408 Å, rel. 61
hkl 1 1 3, d = 1.995 Å, rel. 49
hkl 2 2 0, d = 1.511 Å, rel. 31
hkl 2 1 2, d = 1.723 Å, rel. 29
hkl 1 0 4, d = 1.806 Å, rel. 29
hkl 1 0 3, d = 2.257 Å, rel. 25
hkl 1 1 4, d = 1.664 Å, rel. 23